Ag6Ge2O7: theoretical X-ray powder pattern (Cu Kα, 1.54184 Å), based on DFT lattice parameters and positions (GGA-PBE).
Kinematic intensities with the Lorentz-polarization factor, no thermal factor.

Most intense lines, 2θ from 5° to 70°, low angle first:
28.42 deg, d 3.140, rel. 14, (0 3 2)
32.29 deg, d 2.772, rel. 58, (1 2 -4)
32.46 deg, d 2.758, rel. 100, (2 0 0)
32.81 deg, d 2.730, rel. 10, (1 3 2)
35.19 deg, d 2.550, rel. 21, (0 4 0)
37.69 deg, d 2.387, rel. 8, (1 1 -6)
37.95 deg, d 2.371, rel. 9, (1 1 6)
44.27 deg, d 2.046, rel. 8, (0 0 8)
48.58 deg, d 1.874, rel. 14, (2 4 0)
57.97 deg, d 1.591, rel. 11, (3 2 4)

Crystal structure
abc: 5.5262 10.2014 16.3687
angles: 90.00 90.50 90.00
Space group P2_1 (No. 4)
Inequivalent atoms, fractional coordinates:
Ag 0.1721 0.0000 0.4293 (multiplicity 2)
Ag 0.2554 0.8092 0.5886 (multiplicity 2)
Ag 0.2746 0.5171 0.1761 (multiplicity 2)
Ag 0.2778 0.0550 0.2047 (multiplicity 2)
Ag 0.2802 0.0269 0.9208 (multiplicity 2)
Ag 0.2817 0.3204 0.8433 (multiplicity 2)
Ag 0.2820 0.8579 0.0709 (multiplicity 2)
Ag 0.2922 0.0280 0.6939 (multiplicity 2)
Ag 0.3038 0.3028 0.0520 (multiplicity 2)
Ag 0.3077 0.3118 0.3091 (multiplicity 2)
Ag 0.3151 0.5245 0.6741 (multiplicity 2)
Ag 0.3159 0.2580 0.5080 (multiplicity 2)
Ge 0.2255 0.7668 0.8046 (multiplicity 2)
Ge 0.2385 0.5834 0.9694 (multiplicity 2)
Ge 0.2424 0.5638 0.4323 (multiplicity 2)
Ge 0.2821 0.7815 0.2954 (multiplicity 2)
O 0.0780 0.8793 0.2389 (multiplicity 2)
O 0.0992 0.6887 0.8928 (multiplicity 2)
O 0.1040 0.6931 0.7159 (multiplicity 2)
O 0.1114 0.6540 0.3472 (multiplicity 2)
O 0.1156 0.6210 0.5240 (multiplicity 2)
O 0.1282 0.4218 0.9506 (multiplicity 2)
O 0.1348 0.9352 0.8090 (multiplicity 2)
O 0.1384 0.6450 0.0637 (multiplicity 2)
O 0.1527 0.3961 0.4190 (multiplicity 2)
O 0.4375 0.0748 0.5691 (multiplicity 2)
O 0.4385 0.0802 0.0398 (multiplicity 2)
O 0.4387 0.8748 0.3735 (multiplicity 2)
O 0.4499 0.2544 0.1886 (multiplicity 2)
O 0.4945 0.6974 0.2332 (multiplicity 2)

=====

TbPm2Sm5In: theoretical X-ray powder pattern (Cu Kα, 1.54184 Å), based on DFT lattice parameters and positions (GGA-PBE).
Kinematic intensities with the Lorentz-polarization factor, no thermal factor.

Most intense lines, 2θ from 5° to 70°, low angle first:
27.79 deg, d 3.211, rel. 14, (0 6 1)
30.02 deg, d 2.976, rel. 31, (1 1 3)
32.13 deg, d 2.786, rel. 100, (1 5 2)
32.56 deg, d 2.750, rel. 33, (2 0 0)
33.23 deg, d 2.696, rel. 16, (0 0 4)
47.20 deg, d 1.925, rel. 12, (2 0 4)
56.55 deg, d 1.627, rel. 13, (2 10 0)
57.82 deg, d 1.595, rel. 19, (3 5 2)
58.97 deg, d 1.566, rel. 10, (1 11 3)
61.16 deg, d 1.515, rel. 10, (2 6 5)

Crystal structure
abc: 5.5009 20.1795 10.7853
angles: 90.00 90.00 90.00
Space group Cmcm (No. 63)
Inequivalent atoms, fractional coordinates:
Tb 0.0000 0.2025 0.2500 (multiplicity 4)
Pm 0.0000 0.1162 0.5445 (multiplicity 8)
Sm 0.0000 0.0137 0.2500 (multiplicity 4)
Sm 0.0000 0.2902 0.5504 (multiplicity 8)
Sm 0.0000 0.3823 0.2500 (multiplicity 4)
Sm 0.0000 0.5000 0.0000 (multiplicity 4)
In 0.0000 0.4052 0.7500 (multiplicity 4)

=====

BeCdGe: theoretical X-ray powder pattern (Cu Kα, 1.54184 Å), based on DFT lattice parameters and positions (GGA-PBE).
Kinematic intensities with the Lorentz-polarization factor, no thermal factor.

Most intense lines, 2θ from 5° to 70°, low angle first:
12.88 deg, d 6.872, rel. 31, (0 0 1)
23.36 deg, d 3.808, rel. 32, (1 1 0)
26.07 deg, d 3.419, rel. 72, (2 0 0)
34.50 deg, d 2.599, rel. 100, (1 1 -2)
35.84 deg, d 2.505, rel. 94, (1 1 2)
38.36 deg, d 2.347, rel. 29, (2 0 2)
39.30 deg, d 2.292, rel. 44, (0 2 0)
44.39 deg, d 2.041, rel. 29, (3 1 0)
47.76 deg, d 1.904, rel. 35, (2 2 0)
68.20 deg, d 1.375, rel. 28, (1 3 -2)

Crystal structure
abc: 6.8523 4.5848 6.8875
angles: 90.00 93.81 90.00
Space group C2/m (No. 12)
Inequivalent atoms, fractional coordinates:
Be 0.0000 0.2474 0.0000 (multiplicity 4)
Cd 0.1764 0.0000 0.3782 (multiplicity 4)
Ge 0.2402 0.0000 0.8259 (multiplicity 4)

=====

Pr3Si4: theoretical X-ray powder pattern (Cu Kα, 1.54184 Å), based on DFT lattice parameters and positions (GGA-PBE).
Kinematic intensities with the Lorentz-polarization factor, no thermal factor.

Most intense lines, 2θ from 5° to 70°, low angle first:
20.39 deg, d 4.356, rel. 28, (0 1 1)
26.88 deg, d 3.316, rel. 61, (1 0 3)
29.71 deg, d 3.007, rel. 28, (0 0 6)
31.66 deg, d 2.826, rel. 100, (1 1 2)
31.82 deg, d 2.813, rel. 59, (0 1 5)
36.16 deg, d 2.484, rel. 25, (1 1 4)
40.18 deg, d 2.244, rel. 26, (0 2 0)
49.01 deg, d 1.859, rel. 24, (1 2 3)
50.78 deg, d 1.798, rel. 33, (0 2 6)
56.71 deg, d 1.623, rel. 23, (2 1 5)

Crystal structure
abc: 3.9753 4.4888 18.0434
angles: 90.00 90.00 90.00
Space group Immm (No. 71)
Inequivalent atoms, fractional coordinates:
Pr 0.0000 0.0000 0.0000 (multiplicity 2)
Pr 0.0000 0.5000 0.3182 (multiplicity 4)
Si 0.0000 0.0000 0.4344 (multiplicity 4)
Si 0.0000 0.5000 0.1445 (multiplicity 4)

=====

CsCNO: theoretical X-ray powder pattern (Cu Kα, 1.54184 Å), based on DFT lattice parameters and positions (GGA-PBE).
Kinematic intensities with the Lorentz-polarization factor, no thermal factor.

Most intense lines, 2θ from 5° to 70°, low angle first:
18.87 deg, d 4.703, rel. 60, (0 1 1)
26.65 deg, d 3.345, rel. 25, (0 0 2)
26.96 deg, d 3.307, rel. 24, (0 2 0)
29.03 deg, d 3.076, rel. 100, (2 1 1)
34.73 deg, d 2.583, rel. 18, (2 0 2)
34.97 deg, d 2.566, rel. 18, (2 2 0)
38.27 deg, d 2.352, rel. 19, (0 2 2)
44.53 deg, d 2.035, rel. 27, (4 0 0)
48.56 deg, d 1.875, rel. 15, (2 1 3)
48.93 deg, d 1.862, rel. 15, (2 3 1)

Crystal structure
abc: 8.1327 6.6136 6.6896
angles: 90.00 90.00 90.00
Space group Ima2 (No. 46)
Inequivalent atoms, fractional coordinates:
Cs 0.0000 0.0000 0.0000 (multiplicity 4)
C 0.2500 0.0015 0.5061 (multiplicity 4)
N 0.2500 0.1278 0.6348 (multiplicity 4)
O 0.2500 0.6290 0.8745 (multiplicity 4)

=====

ScSb2Te4: theoretical X-ray powder pattern (Cu Kα, 1.54184 Å), based on DFT lattice parameters and positions (GGA-PBE).
Kinematic intensities with the Lorentz-polarization factor, no thermal factor.

Most intense lines, 2θ from 5° to 70°, low angle first:
22.78 deg, d 3.903, rel. 28, (1 1 0)
27.37 deg, d 3.258, rel. 100, (0 2 4)
28.16 deg, d 3.169, rel. 61, (1 3 0)
28.85 deg, d 3.095, rel. 58, (1 3 1)
30.83 deg, d 2.900, rel. 100, (1 3 2)
38.89 deg, d 2.316, rel. 88, (1 1 5)
39.93 deg, d 2.258, rel. 47, (0 6 3)
44.32 deg, d 2.044, rel. 31, (1 1 6)
44.90 deg, d 2.019, rel. 48, (2 0 0)
53.40 deg, d 1.716, rel. 31, (2 2 4)

Crystal structure
abc: 4.0361 15.3507 14.3944
angles: 90.00 90.00 90.00
Space group Cmcm (No. 63)
Inequivalent atoms, fractional coordinates:
Sc 0.0000 0.1125 0.2500 (multiplicity 4)
Sb 0.0000 0.3660 0.0705 (multiplicity 8)
Te 0.0000 0.0000 0.0000 (multiplicity 4)
Te 0.0000 0.2959 0.6256 (multiplicity 8)
Te 0.0000 0.4759 0.2500 (multiplicity 4)

=====

Ba2SiSbPt6: theoretical X-ray powder pattern (Cu Kα, 1.54184 Å), based on DFT lattice parameters and positions (GGA-PBE).
Kinematic intensities with the Lorentz-polarization factor, no thermal factor.

Most intense lines, 2θ from 5° to 70°, low angle first:
13.64 deg, d 6.494, rel. 34, (0 0 1)
14.63 deg, d 6.054, rel. 40, (2 0 -1)
27.47 deg, d 3.247, rel. 35, (0 0 2)
28.63 deg, d 3.118, rel. 59, (3 1 -2)
29.51 deg, d 3.027, rel. 45, (4 0 -2)
36.16 deg, d 2.484, rel. 100, (2 2 0)
37.38 deg, d 2.406, rel. 50, (4 0 0)
37.93 deg, d 2.372, rel. 84, (2 2 -2)
41.74 deg, d 2.164, rel. 29, (0 0 3)
42.94 deg, d 2.106, rel. 30, (2 2 1)

Crystal structure
abc: 12.2535 5.8003 8.2700
angles: 90.00 128.26 90.00
Space group C2/m (No. 12)
Inequivalent atoms, fractional coordinates:
Ba 0.2495 0.0000 0.1899 (multiplicity 4)
Si 0.0000 0.0000 0.5000 (multiplicity 2)
Sb 0.0000 0.5000 0.0000 (multiplicity 2)
Pt 0.0379 0.2452 0.3002 (multiplicity 8)
Pt 0.2442 0.0000 0.6321 (multiplicity 4)

=====

LaPr2Dy: theoretical X-ray powder pattern (Cu Kα, 1.54184 Å), based on DFT lattice parameters and positions (GGA-PBE).
Kinematic intensities with the Lorentz-polarization factor, no thermal factor.

Most intense lines, 2θ from 5° to 70°, low angle first:
29.69 deg, d 3.009, rel. 100, (4 0 0)
29.86 deg, d 2.993, rel. 33, (2 0 -2)
34.38 deg, d 2.608, rel. 45, (3 1 -1)
34.62 deg, d 2.591, rel. 22, (2 0 2)
49.47 deg, d 1.842, rel. 24, (5 1 1)
49.73 deg, d 1.834, rel. 16, (1 1 -3)
58.65 deg, d 1.574, rel. 19, (4 2 0)
58.76 deg, d 1.571, rel. 10, (2 2 -2)
58.90 deg, d 1.568, rel. 14, (5 1 -3)
59.04 deg, d 1.565, rel. 9, (3 1 3)

Crystal structure
abc: 12.2398 3.6930 6.3370
angles: 90.00 100.10 90.00
Space group C2/m (No. 12)
Inequivalent atoms, fractional coordinates:
La 0.0000 0.0000 0.0000 (multiplicity 2)
Pr 0.2481 0.0000 0.7482 (multiplicity 4)
Dy 0.0000 0.5000 0.5000 (multiplicity 2)

=====

Tm6SiSb2: theoretical X-ray powder pattern (Cu Kα, 1.54184 Å), based on DFT lattice parameters and positions (GGA-PBE).
Kinematic intensities with the Lorentz-polarization factor, no thermal factor.

Most intense lines, 2θ from 5° to 70°, low angle first:
27.99 deg, d 3.188, rel. 38, (1 2 0)
28.67 deg, d 3.114, rel. 90, (0 2 2)
30.93 deg, d 2.891, rel. 76, (1 0 -4)
32.10 deg, d 2.789, rel. 43, (1 2 1)
32.23 deg, d 2.777, rel. 100, (2 1 -1)
32.37 deg, d 2.766, rel. 45, (2 1 -3)
32.66 deg, d 2.742, rel. 39, (1 1 2)
35.88 deg, d 2.502, rel. 39, (2 1 0)
36.17 deg, d 2.484, rel. 38, (2 1 -4)
36.59 deg, d 2.456, rel. 67, (1 3 -1)

Crystal structure
abc: 6.1914 8.0257 11.6073
angles: 90.00 121.70 90.00
Space group P2_1/c (No. 14)
Inequivalent atoms, fractional coordinates:
Tm 0.0818 0.1860 0.4522 (multiplicity 4)
Tm 0.3238 0.6745 0.4536 (multiplicity 4)
Tm 0.3589 0.0316 0.2333 (multiplicity 4)
Si 0.5000 0.0000 0.5000 (multiplicity 2)
Sb 0.1557 0.1149 0.7475 (multiplicity 4)

=====

Ho3Co3B8: theoretical X-ray powder pattern (Cu Kα, 1.54184 Å), based on DFT lattice parameters and positions (GGA-PBE).
Kinematic intensities with the Lorentz-polarization factor, no thermal factor.

Most intense lines, 2θ from 5° to 70°, low angle first:
19.99 deg, d 4.441, rel. 70, (0 2 0)
27.86 deg, d 3.202, rel. 49, (0 1 3)
29.37 deg, d 3.041, rel. 76, (1 1 0)
34.85 deg, d 2.575, rel. 25, (0 0 4)
35.41 deg, d 2.535, rel. 29, (1 2 1)
38.22 deg, d 2.355, rel. 26, (1 0 3)
40.22 deg, d 2.242, rel. 33, (0 3 3)
40.63 deg, d 2.221, rel. 39, (0 4 0)
41.33 deg, d 2.185, rel. 27, (1 3 0)
43.50 deg, d 2.081, rel. 100, (1 2 3)

Crystal structure
abc: 3.2366 8.8828 10.2988
angles: 90.00 90.00 90.00
Space group Immm (No. 71)
Inequivalent atoms, fractional coordinates:
Ho 0.0000 0.0000 0.0000 (multiplicity 2)
Ho 0.0000 0.0000 0.2968 (multiplicity 4)
Co 0.0000 0.2214 0.5000 (multiplicity 4)
Co 0.0000 0.5000 0.0000 (multiplicity 2)
B 0.0000 0.2783 0.1364 (multiplicity 8)
B 0.0000 0.3067 0.3190 (multiplicity 8)

=====

Rb3SnTe3: theoretical X-ray powder pattern (Cu Kα, 1.54184 Å), based on DFT lattice parameters and positions (GGA-PBE).
Kinematic intensities with the Lorentz-polarization factor, no thermal factor.

Most intense lines, 2θ from 5° to 70°, low angle first:
13.31 deg, d 6.652, rel. 52, (2 0 1)
20.32 deg, d 4.370, rel. 54, (2 1 0)
24.13 deg, d 3.689, rel. 46, (1 1 3)
24.74 deg, d 3.599, rel. 47, (3 0 3)
25.13 deg, d 3.544, rel. 74, (3 1 1)
26.37 deg, d 3.380, rel. 88, (2 1 3)
28.56 deg, d 3.126, rel. 58, (1 0 5)
29.41 deg, d 3.037, rel. 57, (4 1 0)
30.29 deg, d 2.951, rel. 64, (2 1 4)
32.87 deg, d 2.725, rel. 100, (0 2 0)

Crystal structure
abc: 14.6284 5.4498 15.9994
angles: 90.00 90.00 90.00
Space group Pnma (No. 62)
Inequivalent atoms, fractional coordinates:
Rb 0.0653 0.2500 0.1038 (multiplicity 4)
Rb 0.1473 0.7500 0.4830 (multiplicity 4)
Rb 0.2359 0.7500 0.7816 (multiplicity 4)
Sn 0.0638 0.2500 0.6988 (multiplicity 4)
Te 0.0145 0.2500 0.3365 (multiplicity 4)
Te 0.1053 0.2500 0.8732 (multiplicity 4)
Te 0.2371 0.2500 0.6179 (multiplicity 4)

=====

YbZnGa3: theoretical X-ray powder pattern (Cu Kα, 1.54184 Å), based on DFT lattice parameters and positions (GGA-PBE).
Kinematic intensities with the Lorentz-polarization factor, no thermal factor.

Most intense lines, 2θ from 5° to 70°, low angle first:
22.65 deg, d 3.926, rel. 8, (1 0 1)
30.05 deg, d 2.973, rel. 17, (1 1 0)
32.45 deg, d 2.759, rel. 57, (1 0 3)
34.31 deg, d 2.614, rel. 100, (1 1 2)
43.02 deg, d 2.102, rel. 48, (2 0 0)
46.71 deg, d 1.945, rel. 33, (1 0 5)
54.91 deg, d 1.672, rel. 26, (2 1 3)
59.35 deg, d 1.557, rel. 10, (1 1 6)
62.47 deg, d 1.487, rel. 16, (2 2 0)
65.37 deg, d 1.428, rel. 24, (2 1 5)

Crystal structure
abc: 4.2049 4.2049 10.9664
angles: 90.00 90.00 90.00
Space group I4mm (No. 107)
Inequivalent atoms, fractional coordinates:
Yb 0.0000 0.0000 0.0000 (multiplicity 2)
Zn 0.0000 0.0000 0.6141 (multiplicity 2)
Ga 0.0000 0.0000 0.3930 (multiplicity 2)
Ga 0.0000 0.5000 0.2492 (multiplicity 4)

=====

Q: Which formula does entry 7 have?
A: Ba2SiSbPt6